No. 1
Structure and calculated X-ray powder pattern of LiHoAg2Cl6 (a DFT-relaxed cell (PBE, Alexandria); CuKα).
No peak broadening, texture or thermal motion is included.

Peak list (10 most intense, 10 to 90 degrees two-theta, low angle first)
2θ/deg, intensity, h k l
14.5, 28, 0 0 3
15.9, 73, 1 0 1
18.0, 41, 0 1 2
24.7, 100, 1 0 4
26.3, 74, 1 1 0
30.2, 73, 2 -1 3
36.4, 55, 0 2 4
39.7, 91, 1 1 6
45.4, 46, 2 1 4
46.4, 66, 3 0 0

```
data_LiHoAg2Cl6
_cell_length_a 6.7777
_cell_length_b 6.7777
_cell_length_c 18.3107
_cell_angle_alpha 90.00
_cell_angle_beta 90.00
_cell_angle_gamma 120.00
_symmetry_space_group_name_H-M 'R 3'
_symmetry_Int_Tables_number 146
_symmetry_space_group_name_Hall 'R 3'
loop_
_atom_site_label
_atom_site_fract_x
_atom_site_fract_y
_atom_site_fract_z
Li1 0.0000 0.0000 0.0000
Ho1 0.0000 0.0000 0.4974
Ag1 0.0000 0.0000 0.2947
Ag2 0.0000 0.0000 0.7934
Cl1 0.0385 0.6972 0.0757
Cl2 0.0395 0.3427 0.5767
```


No. 2
Structure and calculated X-ray powder pattern of Na2MnRe (a DFT-relaxed cell (PBE, Alexandria); CuKα).
No peak broadening, texture or thermal motion is included.

Peak list (10 most intense, 10 to 90 degrees two-theta, low angle first)
2θ/deg, intensity, h k l
21.1, 44, 1 0 1
21.9, 100, 2 0 0
30.5, 40, 2 1 1
31.1, 95, 2 2 0
39.8, 70, 1 1 2
44.6, 35, 4 0 0
50.2, 22, 4 2 0
51.3, 66, 3 1 2
61.2, 19, 3 3 2
70.3, 25, 5 1 2

```
data_Na2MnRe
_cell_length_a 8.135
_cell_length_b 8.135
_cell_length_c 4.933
_cell_angle_alpha 90.00
_cell_angle_beta 90.00
_cell_angle_gamma 90.00
_symmetry_space_group_name_H-M 'I -4 2 d'
_symmetry_Int_Tables_number 122
_symmetry_space_group_name_Hall 'I -4 2bw'
loop_
_atom_site_label
_atom_site_fract_x
_atom_site_fract_y
_atom_site_fract_z
Na1 0.236 0.250 0.125
Mn1 0.000 0.000 0.000
Re1 0.000 0.000 0.500
```


No. 3
Structure and calculated X-ray powder pattern of Tb3Pm2Dy8 (a DFT-relaxed cell (PBE, Alexandria); CuKα).
No peak broadening, texture or thermal motion is included.

Peak list (10 most intense, 10 to 90 degrees two-theta, low angle first)
2θ/deg, intensity, h k l
26.9, 30, 1 1 1
28.6, 25, 3 4 0
30.0, 69, 2 1 1
31.2, 56, 1 7 0
31.5, 54, 3 5 0
31.8, 100, 1 4 1
33.2, 34, 4 3 0
34.7, 73, 3 1 1
36.6, 31, 0 6 1
62.1, 29, 1 7 2

```
data_Tb3Pm2Dy8
_cell_length_a 11.735
_cell_length_b 20.683
_cell_length_c 3.504
_cell_angle_alpha 90.00
_cell_angle_beta 90.00
_cell_angle_gamma 90.00
_symmetry_space_group_name_H-M 'P b a m'
_symmetry_Int_Tables_number 55
_symmetry_space_group_name_Hall '-P 2 2ab'
loop_
_atom_site_label
_atom_site_fract_x
_atom_site_fract_y
_atom_site_fract_z
Tb1 0.000 0.000 0.000
Tb2 0.145 0.299 0.000
Pm1 0.180 0.902 0.500
Dy1 0.045 0.429 0.500
Dy2 0.052 0.158 0.000
Dy3 0.127 0.714 0.500
Dy4 0.207 0.554 0.000
```


No. 4
Structure and calculated X-ray powder pattern of Ca5YBi4 (a DFT-relaxed cell (PBE, Alexandria); CuKα).
No peak broadening, texture or thermal motion is included.

Peak list (10 most intense, 10 to 90 degrees two-theta, low angle first)
2θ/deg, intensity, h k l
21.1, 54, 1 1 -1
21.4, 31, 1 1 1
22.7, 32, 4 0 -1
23.1, 39, 3 1 0
24.1, 43, 4 0 1
30.9, 38, 6 0 0
31.8, 100, 3 1 -2
33.3, 87, 3 1 2
34.9, 43, 0 2 0
41.3, 36, 7 1 -1

```
data_Ca5YBi4
_cell_length_a 17.410
_cell_length_b 5.142
_cell_length_c 7.901
_cell_angle_alpha 90.00
_cell_angle_beta 93.97
_cell_angle_gamma 90.00
_symmetry_space_group_name_H-M 'C 1 2/m 1'
_symmetry_Int_Tables_number 12
_symmetry_space_group_name_Hall '-C 2y'
loop_
_atom_site_label
_atom_site_fract_x
_atom_site_fract_y
_atom_site_fract_z
Ca1 0.000 0.000 0.000
Ca2 0.160 0.500 0.987
Ca3 0.170 0.500 0.503
Y1 0.000 0.000 0.500
Bi1 0.023 0.500 0.252
Bi2 0.181 0.000 0.745
```


No. 5
Structure and calculated X-ray powder pattern of Th3Zn2Ag (a DFT-relaxed cell (PBE, Alexandria); CuKα).
No peak broadening, texture or thermal motion is included.

Peak list (10 most intense, 10 to 90 degrees two-theta, low angle first)
2θ/deg, intensity, h k l
23.6, 12, 0 0 3
24.4, 23, 1 0 0
34.2, 100, 1 0 3
34.8, 48, 1 1 0
42.4, 11, 1 1 3
48.2, 9, 0 0 6
50.0, 17, 2 0 0
60.8, 18, 1 1 6
61.9, 36, 2 1 3
72.0, 11, 2 0 6

```
data_Th3Zn2Ag
_cell_length_a 3.650
_cell_length_b 3.650
_cell_length_c 11.328
_cell_angle_alpha 90.00
_cell_angle_beta 90.00
_cell_angle_gamma 90.00
_symmetry_space_group_name_H-M 'P 4/m m m'
_symmetry_Int_Tables_number 123
_symmetry_space_group_name_Hall '-P 4 2'
loop_
_atom_site_label
_atom_site_fract_x
_atom_site_fract_y
_atom_site_fract_z
Th1 0.000 0.000 0.000
Th2 0.000 0.000 0.325
Zn1 0.500 0.500 0.164
Ag1 0.500 0.500 0.500
```


No. 6
Structure and calculated X-ray powder pattern of Gd2Zr2O7 (a DFT-relaxed cell (PBE, Alexandria); CuKα).
No peak broadening, texture or thermal motion is included.

Peak list (10 most intense, 10 to 90 degrees two-theta, low angle first)
2θ/deg, intensity, h k l
12.6, 17, 1 0 0
27.0, 74, 0 2 1
28.5, 27, 2 1 0
28.7, 100, 0 0 4
31.1, 58, 2 1 1
31.5, 51, 2 1 -3
33.9, 31, 0 2 3
46.5, 16, 2 1 -6
47.6, 20, 2 3 -2
50.0, 18, 4 0 -2

```
data_Gd2Zr2O7
_cell_length_a 7.292
_cell_length_b 6.860
_cell_length_c 12.906
_cell_angle_alpha 90.00
_cell_angle_beta 105.26
_cell_angle_gamma 90.00
_symmetry_space_group_name_H-M 'P 1 21/c 1'
_symmetry_Int_Tables_number 14
_symmetry_space_group_name_Hall '-P 2ybc'
loop_
_atom_site_label
_atom_site_fract_x
_atom_site_fract_y
_atom_site_fract_z
Gd1 0.031 0.091 0.360
Gd2 0.178 0.136 0.111
Zr1 0.306 0.590 0.389
Zr2 0.442 0.608 0.107
O1 0.064 0.736 0.830
O2 0.087 0.086 0.921
O3 0.181 0.055 0.543
O4 0.296 0.136 0.294
O5 0.307 0.596 0.231
O6 0.409 0.580 0.577
O7 0.452 0.659 0.940
```


No. 7
Structure and calculated X-ray powder pattern of MnAlGeRh (a DFT-relaxed cell (PBE, Alexandria); CuKα).
No peak broadening, texture or thermal motion is included.

Peak list (10 most intense, 10 to 90 degrees two-theta, low angle first)
2θ/deg, intensity, h k l
26.0, 18, 1 1 1
30.1, 7, 2 0 0
43.1, 100, 2 2 0
51.1, 9, 3 1 1
53.5, 2, 2 2 2
62.6, 16, 4 0 0
69.0, 4, 3 3 1
71.1, 2, 4 2 0
79.1, 32, 4 2 2
84.9, 3, 5 1 1

```
data_MnAlGeRh
_cell_length_a 5.932
_cell_length_b 5.932
_cell_length_c 5.932
_cell_angle_alpha 90.00
_cell_angle_beta 90.00
_cell_angle_gamma 90.00
_symmetry_space_group_name_H-M 'F -4 3 m'
_symmetry_Int_Tables_number 216
_symmetry_space_group_name_Hall 'F -4 2 3'
loop_
_atom_site_label
_atom_site_fract_x
_atom_site_fract_y
_atom_site_fract_z
Mn1 0.000 0.000 0.000
Al1 0.250 0.250 0.750
Ge1 0.250 0.250 0.250
Rh1 0.000 0.000 0.500
```


No. 8
Structure and calculated X-ray powder pattern of Tb3Pm2Sm5 (a DFT-relaxed cell (PBE, Alexandria); CuKα).
No peak broadening, texture or thermal motion is included.

Peak list (10 most intense, 10 to 90 degrees two-theta, low angle first)
2θ/deg, intensity, h k l
30.0, 32, 2 2 1
30.1, 100, 2 4 0
31.8, 17, 0 4 2
33.1, 31, 4 0 -2
35.8, 7, 0 6 1
37.9, 12, 2 6 -1
48.6, 13, 0 6 3
57.2, 8, 4 0 2
57.3, 16, 6 4 -2
65.8, 14, 2 10 -3

```
data_Tb3Pm2Sm5
_cell_length_a 10.816
_cell_length_b 15.829
_cell_length_c 9.623
_cell_angle_alpha 90.00
_cell_angle_beta 123.96
_cell_angle_gamma 90.00
_symmetry_space_group_name_H-M 'C 1 2/c 1'
_symmetry_Int_Tables_number 15
_symmetry_space_group_name_Hall '-C 2yc'
loop_
_atom_site_label
_atom_site_fract_x
_atom_site_fract_y
_atom_site_fract_z
Tb1 0.000 0.022 0.250
Tb2 0.159 0.379 0.546
Pm1 0.141 0.125 0.049
Sm1 0.000 0.231 0.250
Sm2 0.000 0.273 0.750
Sm3 0.000 0.470 0.750
Sm4 0.231 0.380 0.214
```


No. 9
Structure and calculated X-ray powder pattern of BaLi3Sb3 (a DFT-relaxed cell (PBE, Alexandria); CuKα).
No peak broadening, texture or thermal motion is included.

Peak list (10 most intense, 10 to 90 degrees two-theta, low angle first)
2θ/deg, intensity, h k l
24.0, 41, 2 0 0
26.9, 100, 2 1 0
29.6, 98, 2 1 1
44.1, 26, 3 2 0
45.9, 57, 3 2 1
49.2, 23, 4 0 0
57.0, 24, 4 2 1
68.2, 21, 5 2 0
69.6, 16, 5 2 1
79.9, 17, 6 1 1

```
data_BaLi3Sb3
_cell_length_a 7.401
_cell_length_b 7.401
_cell_length_c 7.401
_cell_angle_alpha 90.00
_cell_angle_beta 90.00
_cell_angle_gamma 90.00
_symmetry_space_group_name_H-M 'P m -3 n'
_symmetry_Int_Tables_number 223
_symmetry_space_group_name_Hall '-P 4n 2 3'
loop_
_atom_site_label
_atom_site_fract_x
_atom_site_fract_y
_atom_site_fract_z
Ba1 0.000 0.000 0.000
Li1 0.000 0.250 0.500
Sb1 0.000 0.500 0.250
```


No. 10
Structure and calculated X-ray powder pattern of La2Pu12Ge7 (a DFT-relaxed cell (PBE, Alexandria); CuKα).
No peak broadening, texture or thermal motion is included.

Peak list (10 most intense, 10 to 90 degrees two-theta, low angle first)
2θ/deg, intensity, h k l
22.7, 16, 2 1 0
29.8, 13, 2 2 0
31.0, 15, 3 1 0
31.7, 100, 2 1 1
34.1, 13, 3 0 1
38.3, 32, 1 3 1
39.8, 29, 1 4 0
44.7, 18, 0 0 2
54.1, 15, 1 5 1
61.4, 17, 1 4 2

```
data_La2Pu12Ge7
_cell_length_a 11.9931
_cell_length_b 11.9931
_cell_length_c 4.0530
_cell_angle_alpha 90.00
_cell_angle_beta 90.00
_cell_angle_gamma 120.00
_symmetry_space_group_name_H-M 'P -6'
_symmetry_Int_Tables_number 174
_symmetry_space_group_name_Hall 'P -6'
loop_
_atom_site_label
_atom_site_fract_x
_atom_site_fract_y
_atom_site_fract_z
La1 0.0000 0.0000 0.0000
La2 0.3333 0.6667 0.5000
Pu1 0.0886 0.3106 0.5000
Pu2 0.1166 0.7571 0.0000
Pu3 0.3963 0.1461 0.0000
Pu4 0.5108 0.4071 0.5000
Ge1 0.0991 0.5013 0.0000
Ge2 0.2269 0.1667 0.5000
Ge3 0.6667 0.3333 0.0000
```


No. 11
Structure and calculated X-ray powder pattern of ThZr2CrN4 (a DFT-relaxed cell (PBE, Alexandria); CuKα).
No peak broadening, texture or thermal motion is included.

Peak list (10 most intense, 10 to 90 degrees two-theta, low angle first)
2θ/deg, intensity, h k l
16.0, 23, 0 0 2
17.6, 25, 0 2 1
28.9, 72, 0 2 3
31.7, 44, 0 4 0
32.4, 37, 0 0 4
32.6, 100, 1 1 2
37.1, 61, 1 3 1
39.8, 49, 1 3 2
51.7, 30, 1 5 2
55.7, 44, 2 0 0

```
data_ThZr2CrN4
_cell_length_a 3.298
_cell_length_b 11.304
_cell_length_c 11.059
_cell_angle_alpha 90.00
_cell_angle_beta 90.00
_cell_angle_gamma 90.00
_symmetry_space_group_name_H-M 'C m c m'
_symmetry_Int_Tables_number 63
_symmetry_space_group_name_Hall '-C 2c 2'
loop_
_atom_site_label
_atom_site_fract_x
_atom_site_fract_y
_atom_site_fract_z
Th1 0.000 0.101 0.250
Zr1 0.000 0.369 0.048
Cr1 0.000 0.159 0.750
N1 0.000 0.000 0.000
N2 0.000 0.269 0.620
N3 0.000 0.438 0.250
```


No. 12
Structure and calculated X-ray powder pattern of Li2CeGa4 (a DFT-relaxed cell (PBE, Alexandria); CuKα).
No peak broadening, texture or thermal motion is included.

Peak list (10 most intense, 10 to 90 degrees two-theta, low angle first)
2θ/deg, intensity, h k l
30.3, 69, 0 1 5
32.8, 51, 1 0 3
37.4, 100, 0 1 7
37.7, 67, 1 1 2
40.9, 18, 1 1 4
41.9, 32, 0 2 0
54.2, 24, 1 2 3
59.1, 29, 1 1 10
70.8, 20, 0 2 12
74.9, 18, 2 1 7

```
data_Li2CeGa4
_cell_length_a 2.983
_cell_length_b 4.314
_cell_length_c 20.275
_cell_angle_alpha 90.00
_cell_angle_beta 90.00
_cell_angle_gamma 90.00
_symmetry_space_group_name_H-M 'I m m m'
_symmetry_Int_Tables_number 71
_symmetry_space_group_name_Hall '-I 2 2'
loop_
_atom_site_label
_atom_site_fract_x
_atom_site_fract_y
_atom_site_fract_z
Li1 0.000 0.000 0.208
Ce1 0.000 0.500 0.000
Ga1 0.000 0.000 0.344
Ga2 0.000 0.500 0.415
```